For Sm2Ga12Pd, a PBE-relaxed structure gives the theoretical powder X-ray diffraction pattern in this record (λ = 1.5418 Å (Cu Kα)).

Cell and atoms:
a b c (Å): 6.096 6.096 15.511
angles (deg): 90.00 90.00 90.00
Atoms (fractional coordinates):
Sm (0.250, 0.750, 0.247)
Sm (0.250, 0.750, 0.753)
Sm (0.750, 0.250, 0.247)
Sm (0.750, 0.250, 0.753)
Ga (0.000, 0.000, 0.090)
Ga (0.000, 0.000, 0.910)
Ga (0.000, 0.500, 0.090)
Ga (0.000, 0.500, 0.910)
Ga (0.078, 0.578, 0.429)
Ga (0.078, 0.922, 0.571)
Ga (0.250, 0.250, 0.186)
Ga (0.250, 0.250, 0.343)
Ga (0.250, 0.250, 0.657)
Ga (0.250, 0.250, 0.814)
Ga (0.422, 0.578, 0.571)
Ga (0.422, 0.922, 0.429)
Ga (0.500, 0.000, 0.090)
Ga (0.500, 0.000, 0.910)
Ga (0.500, 0.500, 0.090)
Ga (0.500, 0.500, 0.910)
Ga (0.578, 0.078, 0.571)
Ga (0.578, 0.422, 0.429)
Ga (0.750, 0.750, 0.186)
Ga (0.750, 0.750, 0.343)
Ga (0.750, 0.750, 0.657)
Ga (0.750, 0.750, 0.814)
Ga (0.922, 0.078, 0.429)
Ga (0.922, 0.422, 0.571)
Pd (0.250, 0.750, 0.000)
Pd (0.750, 0.250, 0.000)

Most intense lines, 2θ from 15° to 90°, in order of falling intensity:
2θ (°)	intensity	hkl
31.5	100	2 0 2
41.9	80	2 2 0
31.0	78	1 1 4
37.5	50	2 0 4
53.1	44	3 1 4
40.7	36	1 1 6
46.0	34	2 0 6
68.7	29	3 1 8
41.5	24	2 0 5
51.7	18	1 1 8